# 1
Starting from a structure optimized by DFT (PBE+U), the X-ray powder pattern of K2Nb4Fe2O13 was simulated for Cu Kα (weighted mean of Kα1 and Kα2).

Top 12 peaks for 10 to 90 degrees two-theta, in order of rising 2θ:
2theta	I_rel	index
10.90	80	2 0 0
13.02	100	2 0 -1
23.16	57	1 1 0
27.95	97	3 1 0
28.42	82	2 0 -3
28.55	56	3 1 -1
30.55	46	1 1 2
31.50	58	4 0 2
40.49	37	4 0 -4
41.30	33	6 0 2
45.91	52	0 2 0
62.85	30	4 2 -4

Structural model:
```
data_K2Nb4Fe2O13
_cell_length_a 16.502
_cell_length_b 3.953
_cell_length_c 9.633
_cell_angle_alpha 90.00
_cell_angle_beta 100.36
_cell_angle_gamma 90.00
_space_group_name_H-M_alt 'C 1 2/m 1'
_space_group_IT_number 12
loop_
_space_group_symop_operation_xyz
'x,y,z'
'-x,-y,-z'
'-x,y,-z'
'x,-y,z'
'x+1/2,y+1/2,z'
'-x+1/2,-y+1/2,-z'
'-x+1/2,y+1/2,-z'
'x+1/2,-y+1/2,z'
loop_
_atom_site_label
_atom_site_fract_x
_atom_site_fract_y
_atom_site_fract_z
K1 0.050 0.000 0.246
Nb1 0.119 0.500 0.582
Nb2 0.164 0.500 0.934
Fe1 0.236 0.500 0.274
O1 0.000 0.500 0.500
O2 0.068 0.500 0.803
O3 0.125 0.000 0.611
O4 0.131 0.500 0.108
O5 0.161 0.500 0.418
O6 0.200 0.000 0.937
O7 0.222 0.500 0.740
```

# 2
Starting from a structure optimized by DFT (PBE+U), the X-ray powder pattern of KNbFeO4 was simulated for Cu Kα (weighted mean of Kα1 and Kα2).

Top 12 peaks for 10 to 90 degrees two-theta, in order of rising 2θ:
2theta	I_rel	index
12.64	100	0 0 1
17.34	30	1 0 -1
19.08	70	0 1 1
22.28	100	1 0 1
28.68	75	0 2 0
30.03	57	1 1 -2
33.77	56	2 1 -1
36.17	30	1 1 2
36.62	24	1 2 1
38.04	24	2 1 -2
52.86	22	2 2 -3
54.62	31	3 1 1

Structural model:
```
data_KNbFeO4
_cell_length_a 5.946
_cell_length_b 6.225
_cell_length_c 7.229
_cell_angle_alpha 90.00
_cell_angle_beta 104.37
_cell_angle_gamma 90.00
_space_group_name_H-M_alt 'P 1 21/m 1'
_space_group_IT_number 11
loop_
_space_group_symop_operation_xyz
'x,y,z'
'-x,-y,-z'
'-x,y+1/2,-z'
'x,-y+1/2,z'
loop_
_atom_site_label
_atom_site_fract_x
_atom_site_fract_y
_atom_site_fract_z
K1 0.228 0.250 0.457
Nb1 0.214 0.750 0.171
Fe1 0.385 0.250 0.010
O1 0.050 0.250 0.036
O2 0.139 0.750 0.401
O3 0.437 0.530 0.165
```

# 3
Starting from a structure optimized by DFT (PBE+U), the X-ray powder pattern of KNdFe4O12 was simulated for Cu Kα (weighted mean of Kα1 and Kα2).

Top 12 peaks for 10 to 90 degrees two-theta, in order of rising 2θ:
2theta	I_rel	index
11.51	19	1 0 0
16.34	18	0 1 1
20.03	65	1 1 1
23.17	16	0 2 0
25.96	12	1 2 0
33.00	100	0 2 2
38.91	34	1 3 1
47.29	16	4 0 0
47.41	33	0 4 0
51.92	15	3 3 1
58.94	38	4 2 2
69.21	18	4 4 0

Structural model:
```
data_KNdFe4O12
_cell_length_a 7.688
_cell_length_b 7.669
_cell_length_c 7.672
_cell_angle_alpha 90.00
_cell_angle_beta 90.00
_cell_angle_gamma 90.00
_space_group_name_H-M_alt 'A m m 2'
_space_group_IT_number 38
loop_
_space_group_symop_operation_xyz
'x,y,z'
'-x,-y,z'
'-x,y,z'
'x,-y,z'
'x,y+1/2,z+1/2'
'-x,-y+1/2,z+1/2'
'-x,y+1/2,z+1/2'
'x,-y+1/2,z+1/2'
loop_
_atom_site_label
_atom_site_fract_x
_atom_site_fract_y
_atom_site_fract_z
K1 0.000 0.000 0.000
Nd1 0.500 0.000 0.501
Fe1 0.246 0.250 0.250
O1 0.000 0.249 0.250
O2 0.264 0.000 0.740
O3 0.265 0.000 0.260
O4 0.265 0.240 0.500
O5 0.500 0.249 0.750
```

# 4
Starting from a structure optimized by DFT (PBE+U), the X-ray powder pattern of KNpFe2O6 was simulated for Cu Kα (weighted mean of Kα1 and Kα2).

Top 12 peaks for 10 to 90 degrees two-theta, in order of rising 2θ:
2theta	I_rel	index
17.22	90	0 0 1
19.10	46	1 0 0
19.52	100	1 1 0
21.31	36	0 1 0
21.70	35	1 1 1
22.42	36	1 0 -1
28.86	52	1 0 1
29.92	45	1 1 -1
30.31	42	0 1 2
32.27	90	1 2 1
32.46	46	2 1 0
46.68	27	1 -1 1

Structural model:
```
data_KNpFe2O6
_cell_length_a 5.521
_cell_length_b 5.552
_cell_length_c 5.954
_cell_angle_alpha 63.10
_cell_angle_beta 87.97
_cell_angle_gamma 60.23
_space_group_name_H-M_alt 'P 1'
_space_group_IT_number 1
loop_
_space_group_symop_operation_xyz
'x,y,z'
loop_
_atom_site_label
_atom_site_fract_x
_atom_site_fract_y
_atom_site_fract_z
K1 0.000 0.000 0.000
Np1 0.464 0.065 0.409
Fe1 0.236 0.490 0.788
Fe2 0.784 0.433 0.361
O1 0.069 0.460 0.139
O2 0.173 0.954 0.591
O3 0.478 0.897 0.163
O4 0.519 0.282 0.603
O5 0.623 0.314 0.162
O6 0.856 0.598 0.593
```